Mg16Al12Pt: theoretical X-ray diffraction stick pattern (CuKα), based on a structure optimized by DFT (PBE).

Atomic structure:
Unit cell a=10.452 b=14.579 c=9.043 alpha=90.00 beta=123.98 gamma=90.00
Space group Cm (No. 8)
Asymmetric unit:
Mg  0.000  0.000  0.000 x2
Mg  0.015  0.000  0.358 x2
Mg  0.066  0.347  0.410 x4
Mg  0.120  0.500  0.676 x2
Mg  0.163  0.159  0.607 x4
Mg  0.184  0.175  0.003 x4
Mg  0.199  0.500  0.304 x2
Mg  0.310  0.298  0.330 x4
Mg  0.464  0.124  0.992 x4
Mg  0.493  0.190  0.697 x4
Al  0.014  0.189  0.193 x4
Al  0.189  0.000  0.816 x2
Al  0.248  0.408  0.027 x4
Al  0.282  0.093  0.374 x4
Al  0.326  0.315  0.828 x4
Al  0.369  0.000  0.180 x2
Al  0.413  0.407  0.645 x4
Pt  0.327  0.000  0.649 x2

Principal peaks in the range 2θ from 10° to 80°, in order of rising 2θ:
(1 1 0), 11.9 deg, rel. 95
(0 2 0), 12.1 deg, rel. 100
(0 2 1), 17.0 deg, rel. 42
(2 0 0), 20.5 deg, rel. 36
(1 3 0), 20.9 deg, rel. 47
(4 0 -1), 36.1 deg, rel. 32
(3 3 0), 36.2 deg, rel. 39
(4 2 -2), 36.6 deg, rel. 66
(3 3 -3), 36.8 deg, rel. 36
(1 5 -2), 36.8 deg, rel. 44